For NiH, DFT lattice parameters and positions (GGA-PBE) gives the computed X-ray powder pattern in this record (Cu Kα X-rays).
Neutral-atom scattering factors, no anomalous dispersion.

Main lines, in order of rising 2θ (2θ = 5–70°):
hkl  Position (°2θ)  I/Imax
1 0 1  38.16  15
2 0 0  39.50  57
1 1 1  43.18  100
2 1 0  44.39  29
2 1 1  56.09  6
2 2 0  57.09  12
2 2 1  67.25  3
0 0 2  68.07  7

Cell and atoms:
```
data_NiH
_chemical_formula_sum 'Ni4 H4'
_cell_length_a 4.563
_cell_length_b 4.563
_cell_length_c 2.755
_cell_angle_alpha 90.00
_cell_angle_beta 90.00
_cell_angle_gamma 90.00
_symmetry_space_group_name_H-M 'P 42/m n m'
_symmetry_Int_Tables_number 136
_symmetry_space_group_name_Hall '-P 4n 2n'
loop_
_atom_site_label
_atom_site_type_symbol
_atom_site_fract_x
_atom_site_fract_y
_atom_site_fract_z
Ni1 Ni 0.204 0.204 0.000
H1 H 0.161 0.839 0.000
```